This entry pairs a crystal structure of CrCdPAuNF with its simulated X-ray diffraction stick pattern. Radiation: a wavelength of 1.5418 Å. Structure: a cell relaxed with PBE+U.
Kinematic intensities with the Lorentz-polarization factor, no thermal factor.

Structural model:
Cell lengths 3.1705, 5.7451, 5.9518 Å; angles 67.69, 87.31, 87.83 degrees
Space group P1 (No. 1)
Inequivalent atoms, fractional coordinates:
Cr  0.0000  0.0000  0.0000 [1 per cell]
Cd  0.4754  0.2592  0.3331 [1 per cell]
P  0.4964  0.4714  0.6615 [1 per cell]
Au  0.9826  0.8163  0.5681 [1 per cell]
N  0.4877  0.2561  0.9357 [1 per cell]
F  0.5089  0.7487  0.0850 [1 per cell]

Top 10 peaks for 2θ = 5–70°, by angle:
two_theta, Rel. int.
16.11, 731
16.68, 321
18.30, 605
27.39, 287
30.41, 1000
32.59, 673
33.25, 592
33.73, 315
41.73, 284
43.04, 282